Calculated X-ray powder pattern
Compound: SrTm2S4
Radiation: Cu Kα (weighted mean of Kα1 and Kα2)
Structure: a structure optimized by DFT (GGA-PBE)
Peak positions follow from Bragg's law for the DFT cell and can differ from measured ones.

Structural model:
```
data_SrTm2S4
_chemical_formula_sum 'Sr4 Tm8 S16'
_cell_length_a 3.933
_cell_length_b 12.903
_cell_length_c 13.345
_cell_angle_alpha 90.00
_cell_angle_beta 90.00
_cell_angle_gamma 90.00
_symmetry_space_group_name_H-M 'C m c m'
_symmetry_Int_Tables_number 63
_symmetry_space_group_name_Hall '-C 2c 2'
loop_
_atom_site_label
_atom_site_type_symbol
_atom_site_fract_x
_atom_site_fract_y
_atom_site_fract_z
_atom_site_occupancy
Sr1 Sr 0.000 0.112 0.250 1
Tm1 Tm 0.000 0.366 0.069 1
S1 S 0.000 0.000 0.000 1
S2 S 0.000 0.269 0.613 1
S3 S 0.000 0.445 0.250 1
```

Peak list (10 most intense, 5° ≤ 2θ ≤ 70°, in order of falling intensity)
h k l	2θ/deg	intensity
0 2 3	24.30	100
1 3 2	33.67	48
1 3 1	31.55	39
2 0 0	46.18	35
1 3 0	30.80	32
1 1 5	41.48	32
0 0 2	13.27	28
1 5 3	46.80	27
2 2 3	52.84	25
0 4 0	27.65	25

---

Calculated X-ray powder pattern
Compound: PaZn2Ge
Radiation: Cu Kα (weighted mean of Kα1 and Kα2)
Structure: a structure optimized by DFT (GGA-PBE)
Peak positions follow from Bragg's law for the DFT cell and can differ from measured ones.

Structural model:
```
data_PaZn2Ge
_chemical_formula_sum 'Pa1 Zn2 Ge1'
_cell_length_a 4.159
_cell_length_b 4.159
_cell_length_c 4.549
_cell_angle_alpha 90.00
_cell_angle_beta 90.00
_cell_angle_gamma 90.00
_symmetry_space_group_name_H-M 'P 4/m m m'
_symmetry_Int_Tables_number 123
_symmetry_space_group_name_Hall '-P 4 2'
loop_
_atom_site_label
_atom_site_type_symbol
_atom_site_fract_x
_atom_site_fract_y
_atom_site_fract_z
_atom_site_occupancy
Pa1 Pa 0.000 0.000 0.000 1
Zn1 Zn 0.000 0.500 0.500 1
Ge1 Ge 0.500 0.500 0.000 1
```

Peak list (10 most intense, 5° ≤ 2θ ≤ 70°, in order of falling intensity)
h k l	2θ/deg	intensity
1 1 1	36.38	100
2 0 0	43.52	30
2 0 2	60.30	23
1 0 0	21.36	21
1 0 1	29.09	20
0 0 2	39.62	20
1 1 3	69.78	15
0 0 1	19.51	14
1 1 0	30.39	10
2 2 0	63.23	10

---

Calculated X-ray powder pattern
Compound: BaZnCu2Cl8
Radiation: Cu Kα (weighted mean of Kα1 and Kα2)
Structure: a structure optimized by DFT (GGA-PBE)
Peak positions follow from Bragg's law for the DFT cell and can differ from measured ones.

Structural model:
```
data_BaZnCu2Cl8
_chemical_formula_sum 'Ba1 Zn1 Cu2 Cl8'
_cell_length_a 6.3323
_cell_length_b 6.3323
_cell_length_c 8.5420
_cell_angle_alpha 90.00
_cell_angle_beta 90.00
_cell_angle_gamma 120.00
_symmetry_space_group_name_H-M 'P -3'
_symmetry_Int_Tables_number 147
loop_
_symmetry_equiv_pos_as_xyz
'x,y,z'
'-x,-y,-z'
'-y,x-y,z'
'y,-x+y,-z'
'-x+y,-x,z'
'x-y,x,-z'
loop_
_atom_site_label
_atom_site_type_symbol
_atom_site_fract_x
_atom_site_fract_y
_atom_site_fract_z
_atom_site_occupancy
Ba1 Ba 0.0000 0.0000 0.0000 1
Zn1 Zn 0.0000 0.0000 0.5000 1
Cu1 Cu 0.3333 0.6667 0.7236 1
Cl1 Cl 0.0081 0.6964 0.3225 1
Cl2 Cl 0.3333 0.6667 0.9874 1
```

Peak list (10 most intense, 5° ≤ 2θ ≤ 70°, in order of falling intensity)
h k l	2θ/deg	intensity
0 1 2	26.45	100
1 1 0	28.18	84
1 1 1	30.10	77
1 0 1	19.23	66
3 0 0	49.89	61
2 -1 2	35.29	60
1 1 4	51.63	59
2 0 2	39.04	49
3 -2 2	48.84	47
1 0 0	16.16	46